No. 1
Computed XRD peak list
Compound: NaH6N2O
Radiation: Cu Kα, 1.54184 Å
Structure: a crystal structure in Alexandria, relaxed with PBE

Structure:
abc: 6.1852 6.1852 5.2355
angles: 96.30 96.30 118.42
Fractional positions:
1 Na 0.0638 0.9362 0.7500
2 Na 0.9362 0.0638 0.2500
3 H 0.0505 0.6262 0.3135
4 H 0.2070 0.4265 0.8661
5 H 0.2101 0.4710 0.5608
6 H 0.3738 0.9495 0.1865
7 H 0.4265 0.2070 0.3661
8 H 0.4710 0.2101 0.0608
9 H 0.5290 0.7899 0.9392
10 H 0.5735 0.7930 0.6339
11 H 0.6262 0.0505 0.8135
12 H 0.7899 0.5290 0.4392
13 H 0.7930 0.5735 0.1339
14 H 0.9495 0.3738 0.6865
15 N 0.1046 0.3512 0.6775
16 N 0.3512 0.1046 0.1775
17 N 0.6488 0.8954 0.8225
18 N 0.8954 0.6488 0.3225
19 O 0.3589 0.6411 0.2500
20 O 0.6411 0.3589 0.7500

Largest 10 diffraction maxima, most intense first, 2θ from 15° to 90°:
34.88°, I 100.0
40.89°, I 48.5
35.10°, I 42.3
33.74°, I 31.9
16.58°, I 23.6
29.05°, I 21.1
49.89°, I 17.7
26.26°, I 17.4
32.34°, I 16.4
43.56°, I 15.7

---

No. 2
Computed XRD peak list
Compound: Hf3TaTi2N6
Radiation: Cu Kα, 1.54184 Å
Structure: a crystal structure in Alexandria, relaxed with PBE

Structure:
abc: 5.4371 5.4371 5.4173
angles: 99.70 99.70 120.02
Fractional positions:
1 Hf 0.0000 0.0000 0.0000
2 Hf 0.3321 0.6679 0.0000
3 Hf 0.6679 0.3321 0.0000
4 Ta 0.5000 0.5000 0.5000
5 Ti 0.1659 0.8341 0.5000
6 Ti 0.8341 0.1659 0.5000
7 N 0.0830 0.4192 0.2568
8 N 0.2455 0.2455 0.7449
9 N 0.4192 0.0830 0.2568
10 N 0.5808 0.9170 0.7432
11 N 0.7545 0.7545 0.2551
12 N 0.9170 0.5808 0.7432

Largest 10 diffraction maxima, most intense first, 2θ from 15° to 90°:
40.72°, I 100.0
35.01°, I 70.2
35.07°, I 33.8
35.19°, I 33.6
58.84°, I 32.8
70.36°, I 23.7
17.39°, I 21.9
59.01°, I 21.6
70.55°, I 14.4
33.48°, I 14.4

---

Repeat the second record exactly.
Computed XRD peak list
Compound: Hf3TaTi2N6
Radiation: Cu Kα, 1.54184 Å
Structure: a crystal structure in Alexandria, relaxed with PBE

Structure:
abc: 5.4371 5.4371 5.4173
angles: 99.70 99.70 120.02
Fractional positions:
1 Hf 0.0000 0.0000 0.0000
2 Hf 0.3321 0.6679 0.0000
3 Hf 0.6679 0.3321 0.0000
4 Ta 0.5000 0.5000 0.5000
5 Ti 0.1659 0.8341 0.5000
6 Ti 0.8341 0.1659 0.5000
7 N 0.0830 0.4192 0.2568
8 N 0.2455 0.2455 0.7449
9 N 0.4192 0.0830 0.2568
10 N 0.5808 0.9170 0.7432
11 N 0.7545 0.7545 0.2551
12 N 0.9170 0.5808 0.7432

Largest 10 diffraction maxima, most intense first, 2θ from 15° to 90°:
40.72°, I 100.0
35.01°, I 70.2
35.07°, I 33.8
35.19°, I 33.6
58.84°, I 32.8
70.36°, I 23.7
17.39°, I 21.9
59.01°, I 21.6
70.55°, I 14.4
33.48°, I 14.4